# BaCaZr4O12
Calculated powder diffractogram, Cu Kα. Input: a structure optimized by DFT (PBE).

Top 10 peaks for 2θ from 5° to 70°, by angle:
18.4 deg, intensity 48, (1 1 1)
21.2 deg, intensity 18, (0 2 0)
21.4 deg, intensity 39, (0 0 2)
30.3 deg, intensity 100, (2 2 0)
30.4 deg, intensity 45, (2 0 2)
43.1 deg, intensity 19, (0 4 0)
43.6 deg, intensity 37, (4 0 0)
53.7 deg, intensity 19, (2 4 2)
54.0 deg, intensity 39, (4 2 2)
63.0 deg, intensity 19, (4 4 0)

Structure:
Lattice parameters (Å, degrees): 8.3077 8.3975 8.3041 90.00 90.00 90.00
Space group Amm2 (No. 38)
Unique sites:
Ba (0.0000, 0.0000, 0.0000)
Ca (0.5000, 0.0000, 0.4395)
Zr (0.2572, 0.2356, 0.7206)
O (0.0000, 0.2320, 0.7270)
O (0.2430, 0.0000, 0.2460)
O (0.2445, 0.2178, 0.9723)
O (0.3062, 0.0000, 0.6702)
O (0.5000, 0.2056, 0.2495)

***

# BaCa5P4
Calculated powder diffractogram, Cu Kα. Input: a structure optimized by DFT (PBE).

Top 10 peaks for 2θ from 5° to 70°, by angle:
10.6 deg, intensity 23, (0 0 2)
12.1 deg, intensity 43, (0 1 1)
21.4 deg, intensity 20, (0 0 4)
25.6 deg, intensity 41, (1 0 3)
30.1 deg, intensity 100, (1 2 1)
30.7 deg, intensity 24, (0 2 4)
31.3 deg, intensity 18, (1 1 4)
32.3 deg, intensity 29, (0 0 6)
40.3 deg, intensity 22, (2 0 0)
40.4 deg, intensity 54, (1 2 5)

Structure:
Lattice parameters (Å, degrees): 4.4767 8.1777 16.6147 90.00 90.00 90.00
Space group Immm (No. 71)
Unique sites:
Ba (0.0000, 0.0000, 0.0000)
Ca (0.0000, 0.2737, 0.3336)
Ca (0.0000, 0.5000, 0.0000)
P (0.0000, 0.0000, 0.2136)
P (0.0000, 0.2260, 0.5000)

***

# BaCaP2Pd4
Calculated powder diffractogram, Cu Kα. Input: a structure optimized by DFT (PBE).

Top 10 peaks for 2θ from 5° to 70°, by angle:
17.6 deg, intensity 37, (0 0 2)
26.5 deg, intensity 17, (0 0 3)
27.5 deg, intensity 34, (1 0 2)
31.2 deg, intensity 21, (1 1 1)
34.9 deg, intensity 100, (1 1 2)
35.5 deg, intensity 18, (0 0 4)
42.8 deg, intensity 46, (2 0 0)
54.8 deg, intensity 28, (1 1 5)
56.8 deg, intensity 18, (2 0 4)
62.1 deg, intensity 15, (2 2 0)

Structure:
Lattice parameters (Å, degrees): 4.2298 4.2298 10.1056 90.00 90.00 90.00
Space group P4/mmm (No. 123)
Unique sites:
Ba (0.0000, 0.0000, 0.0000)
Ca (0.0000, 0.0000, 0.5000)
P (0.5000, 0.5000, 0.1896)
Pd (0.0000, 0.5000, 0.2853)

***

# BaCaZnP2
Calculated powder diffractogram, Cu Kα. Input: a structure optimized by DFT (PBE).

Top 10 peaks for 2θ from 5° to 70°, by angle:
20.7 deg, intensity 47, (0 1 1)
23.4 deg, intensity 59, (1 0 -2)
24.7 deg, intensity 46, (2 0 0)
25.5 deg, intensity 100, (1 1 1)
29.2 deg, intensity 36, (1 1 -2)
30.2 deg, intensity 40, (2 1 -1)
34.5 deg, intensity 30, (2 1 1)
37.0 deg, intensity 50, (1 2 0)
38.4 deg, intensity 27, (1 1 -3)
39.1 deg, intensity 28, (0 1 3)

Structure:
Lattice parameters (Å, degrees): 7.4276 5.1536 7.9627 90.00 103.65 90.00
Space group P2/c (No. 13)
Unique sites:
Ba (0.0000, 0.2146, 0.2500)
Ca (0.5000, 0.4748, 0.7500)
Zn (0.5000, 0.0000, 0.0000)
P (0.2566, 0.2660, 0.9599)

***

# BaCaPb4
Calculated powder diffractogram, Cu Kα. Input: a structure optimized by DFT (PBE).

Top 10 peaks for 2θ from 5° to 70°, by angle:
16.3 deg, intensity 47, (1 1 1)
31.4 deg, intensity 100, (3 1 1)
32.9 deg, intensity 70, (2 2 2)
38.2 deg, intensity 22, (4 0 0)
41.7 deg, intensity 14, (3 3 1)
50.2 deg, intensity 36, (3 3 3)
55.1 deg, intensity 36, (4 4 0)
57.8 deg, intensity 12, (5 3 1)
64.8 deg, intensity 13, (5 3 3)
65.6 deg, intensity 30, (6 2 2)

Structure:
Lattice parameters (Å, degrees): 9.4350 9.4350 9.4350 90.00 90.00 90.00
Space group F-43m (No. 216)
Unique sites:
Ba (0.0000, 0.0000, 0.0000)
Ca (0.2500, 0.2500, 0.2500)
Pb (0.1273, 0.1273, 0.6273)

***

# BaCa2Pb
Calculated powder diffractogram, Cu Kα. Input: a structure optimized by DFT (PBE).

Top 10 peaks for 2θ from 5° to 70°, by angle:
17.1 deg, intensity 47, (0 1 1)
20.9 deg, intensity 17, (1 0 1)
29.1 deg, intensity 100, (1 1 2)
29.3 deg, intensity 20, (0 0 4)
29.6 deg, intensity 21, (1 0 3)
31.1 deg, intensity 23, (0 2 0)
43.3 deg, intensity 14, (0 2 4)
43.4 deg, intensity 15, (1 2 3)
51.9 deg, intensity 12, (1 1 6)
54.1 deg, intensity 17, (1 3 2)

Structure:
Lattice parameters (Å, degrees): 4.5297 5.7512 12.1753 90.00 90.00 90.00
Space group Imm2 (No. 44)
Unique sites:
Ba (0.0000, 0.0000, 0.0000)
Ca (0.0000, 0.0000, 0.5778)
Ca (0.0000, 0.5000, 0.7884)
Pb (0.0000, 0.5000, 0.2704)

***

# BaCaPb
Calculated powder diffractogram, Cu Kα. Input: a structure optimized by DFT (PBE).

Top 10 peaks for 2θ from 5° to 70°, by angle:
20.6 deg, intensity 41, (1 0 2)
21.3 deg, intensity 54, (1 1 1)
26.5 deg, intensity 42, (1 1 2)
27.5 deg, intensity 100, (2 1 1)
31.9 deg, intensity 38, (0 1 3)
33.4 deg, intensity 51, (0 2 0)
35.1 deg, intensity 25, (3 0 2)
37.8 deg, intensity 17, (2 1 3)
39.6 deg, intensity 17, (1 2 2)
49.2 deg, intensity 21, (3 2 2)

Structure:
Lattice parameters (Å, degrees): 8.9746 5.3623 9.8620 90.00 90.00 90.00
Space group Pnma (No. 62)
Unique sites:
Ba (0.0218, 0.2500, 0.1812)
Ca (0.1440, 0.2500, 0.5705)
Pb (0.2261, 0.7500, 0.3906)

***

# BaCaPb6
Calculated powder diffractogram, Cu Kα. Input: a structure optimized by DFT (PBE).

Top 10 peaks for 2θ from 5° to 70°, by angle:
17.6 deg, intensity 5, (1 0 0)
25.0 deg, intensity 7, (1 1 0)
30.7 deg, intensity 100, (1 1 2)
35.6 deg, intensity 35, (2 0 0)
35.8 deg, intensity 16, (0 0 4)
51.2 deg, intensity 12, (2 2 0)
51.3 deg, intensity 23, (2 0 4)
60.9 deg, intensity 30, (3 1 2)
61.2 deg, intensity 13, (1 1 6)
64.0 deg, intensity 12, (2 2 4)

Structure:
Lattice parameters (Å, degrees): 5.0492 5.0492 10.0341 90.00 90.00 90.00
Space group P4/mmm (No. 123)
Unique sites:
Ba (0.0000, 0.0000, 0.0000)
Ca (0.0000, 0.0000, 0.5000)
Pb (0.0000, 0.5000, 0.2621)
Pb (0.5000, 0.5000, 0.0000)
Pb (0.5000, 0.5000, 0.5000)

***

# BaCaPb2
Calculated powder diffractogram, Cu Kα. Input: a structure optimized by DFT (PBE).

Top 10 peaks for 2θ from 5° to 70°, by angle:
18.2 deg, intensity 35, (1 1 0)
25.6 deg, intensity 28, (1 1 1)
27.8 deg, intensity 24, (1 3 1)
29.2 deg, intensity 28, (0 6 1)
31.9 deg, intensity 100, (1 5 1)
36.0 deg, intensity 49, (2 0 0)
47.1 deg, intensity 15, (2 6 1)
51.9 deg, intensity 17, (2 0 2)
62.1 deg, intensity 15, (1 5 3)
62.3 deg, intensity 15, (3 5 1)

Structure:
Lattice parameters (Å, degrees): 4.9777 23.2471 4.9897 90.00 90.00 90.00
Space group Cmcm (No. 63)
Unique sites:
Ba (0.0000, 0.1863, 0.2500)
Ca (0.0000, 0.0547, 0.7500)
Pb (0.0000, 0.3490, 0.2500)
Pb (0.0000, 0.4423, 0.7500)

***

# BaCa3Pd
Calculated powder diffractogram, Cu Kα. Input: a structure optimized by DFT (PBE).

Top 10 peaks for 2θ from 5° to 70°, by angle:
10.8 deg, intensity 23, (0 0 1)
16.9 deg, intensity 32, (1 0 1)
21.6 deg, intensity 100, (1 1 1)
27.5 deg, intensity 24, (1 -2 0)
27.9 deg, intensity 44, (1 -1 2)
28.7 deg, intensity 42, (1 1 -2)
29.6 deg, intensity 23, (-1 2 1)
35.9 deg, intensity 27, (-2 1 2)
44.0 deg, intensity 25, (0 0 4)
44.1 deg, intensity 33, (0 3 2)

Structure:
Lattice parameters (Å, degrees): 6.8230 7.1257 8.2260 90.01 90.01 93.98
Space group P-1 (No. 2)
Unique sites:
Ba (0.2407, 0.3275, 0.0004)
Ca (0.2442, 0.3422, 0.5003)
Ca (0.2598, 0.8398, 0.2669)
Ca (0.2595, 0.8397, 0.7332)
Pd (0.0000, 0.0000, 0.5000)
Pd (0.5000, 0.0000, 0.0000)

***

# BaCa2Pd2
Calculated powder diffractogram, Cu Kα. Input: a structure optimized by DFT (PBE).

Top 10 peaks for 2θ from 5° to 70°, by angle:
15.2 deg, intensity 29, (2 0 0)
15.6 deg, intensity 97, (0 0 1)
27.4 deg, intensity 67, (1 1 1)
30.2 deg, intensity 100, (3 1 0)
30.6 deg, intensity 42, (4 0 0)
31.2 deg, intensity 96, (2 0 -2)
38.1 deg, intensity 30, (4 0 1)
39.5 deg, intensity 82, (0 2 0)
39.8 deg, intensity 67, (1 1 2)
57.0 deg, intensity 21, (7 1 -1)

Structure:
Lattice parameters (Å, degrees): 12.0954 4.5601 5.8762 90.00 104.83 90.00
Space group C2/m (No. 12)
Unique sites:
Ba (0.0000, 0.0000, 0.0000)
Ca (0.1635, 0.5000, 0.6063)
Pd (0.2185, 0.5000, 0.1276)

***

# BaCa3Pd
Calculated powder diffractogram, Cu Kα. Input: a structure optimized by DFT (PBE).

Top 10 peaks for 2θ from 5° to 70°, by angle:
17.4 deg, intensity 100, (1 1 0)
24.3 deg, intensity 26, (0 0 2)
28.5 deg, intensity 21, (2 1 0)
29.2 deg, intensity 37, (1 2 -1)
29.6 deg, intensity 36, (1 1 -2)
30.4 deg, intensity 38, (1 1 2)
30.7 deg, intensity 34, (2 1 -1)
31.5 deg, intensity 24, (2 1 1)
33.9 deg, intensity 37, (0 2 2)
37.7 deg, intensity 29, (1 3 0)

Structure:
Lattice parameters (Å, degrees): 6.8693 7.6241 7.3431 90.00 92.27 90.00
Space group P2_1 (No. 4)
Unique sites:
Ba (0.0955, 0.0000, 0.0176)
Ca (0.0842, 0.7232, 0.4995)
Ca (0.4205, 0.3470, 0.7335)
Ca (0.4360, 0.3586, 0.2588)
Pd (0.2999, 0.0573, 0.4731)